For La4Tb3Y4, a DFT-relaxed cell (GGA-PBE, Alexandria) gives the theoretical X-ray diffraction stick pattern in this record (CuKα).
No peak broadening, texture or thermal motion is included.

Principal peaks in the range 10 to 90 degrees two-theta, by angle:
2θ = 30.2°, rel. 37.9
2θ = 30.7°, rel. 16.8
2θ = 31.0°, rel. 39.1
2θ = 31.7°, rel. 100.0
2θ = 33.2°, rel. 15.1
2θ = 44.2°, rel. 12.3
2θ = 46.0°, rel. 12.1
2θ = 55.6°, rel. 28.3
2θ = 61.7°, rel. 12.8
2θ = 61.8°, rel. 12.9

Structure:
Lattice parameters (Å, degrees): 10.7849 6.7044 6.7044 51.05 90.00 90.00
Element x y z (fractional)
La: 0.0000 0.0000 0.0000
La: 0.2042 0.8082 0.8082
La: 0.5000 0.9186 0.9186
La: 0.7958 0.8082 0.8082
Tb: 0.0000 0.2951 0.2951
Tb: 0.2888 0.4515 0.4515
Tb: 0.7112 0.4515 0.4515
Y: 0.0000 0.5943 0.5943
Y: 0.3029 0.1462 0.1462
Y: 0.5000 0.6463 0.6463
Y: 0.6971 0.1462 0.1462